Starting from DFT lattice parameters and positions (PBE+U), the XRD peak list of V3OF11 was computed for Cu Kα (weighted mean of Kα1 and Kα2).

Principal peaks in the range 2θ = 15–90°, in order of falling intensity:
25.15°, I = 100.0, (1 -1 1)
17.95°, I = 83.2, (0 0 3)
25.29°, I = 33.1, (-1 1 2)
40.37°, I = 11.9, (1 0 -6)
32.58°, I = 11.8, (0 2 1)
41.25°, I = 10.8, (1 -2 2)
48.16°, I = 10.2, (-2 2 1)
36.35°, I = 10.0, (0 0 6)
47.94°, I = 8.5, (2 2 1)
53.82°, I = 8.0, (1 -3 0)
51.67°, I = 7.9, (2 2 4)
39.20°, I = 7.3, (2 1 2)

Cell and atoms:
```
data_V3OF11
_space_group_name_H-M_alt 'P 1'
_space_group_IT_number 1
_space_group_name_Hall 'P 1'
_cell_length_a 5.2254
_cell_length_b 5.4971
_cell_length_c 15.0583
_cell_angle_alpha 79.95
_cell_angle_beta 89.84
_cell_angle_gamma 89.75
loop_
_atom_site_label
_atom_site_type_symbol
_atom_site_fract_x
_atom_site_fract_y
_atom_site_fract_z
V1 V 0.0000 0.0000 0.0000
V2 V 0.0233 0.6831 0.6683
V3 V 0.0760 0.3547 0.3327
V4 V 0.4821 0.4718 0.0048
V5 V 0.5232 0.1832 0.6682
V6 V 0.5695 0.8532 0.3369
O1 O 0.1215 0.3987 0.2252
O2 O 0.2991 0.2255 0.0265
F1 F 0.1158 0.0598 0.8880
F2 F 0.1184 0.7205 0.5541
F3 F 0.2233 0.7056 0.0289
F4 F 0.2237 0.3761 0.6952
F5 F 0.2698 0.0660 0.3680
F6 F 0.3223 0.8763 0.6938
F7 F 0.3406 0.5463 0.3680
F8 F 0.4263 0.2243 0.5544
F9 F 0.4265 0.5715 0.8884
F10 F 0.4278 0.8848 0.2291
F11 F 0.6148 0.1434 0.7826
F12 F 0.6153 0.4805 0.1124
F13 F 0.6328 0.8073 0.4531
F14 F 0.7229 0.8098 0.9753
F15 F 0.7245 0.4898 0.6429
F16 F 0.7725 0.1404 0.3060
F17 F 0.7867 0.3063 0.9738
F18 F 0.8222 0.9906 0.6417
F19 F 0.8537 0.6647 0.3072
F20 F 0.8983 0.3211 0.4391
F21 F 0.9276 0.9791 0.1159
F22 F 0.9302 0.6465 0.7826
```